Diffraction record for Co3BPO7. The X-ray powder pattern is simulated, not measured: it uses a crystal structure in Alexandria, relaxed with GGA+U and Cu Kα X-rays.
Peak positions follow from Bragg's law for the DFT cell and can differ from measured ones.

Most intense lines, 2θ = 10–90°, low angle first:
2θ/deg  intensity
20.7  95
35.0  100
36.2  41
36.3  22
51.3  29
64.2  24

Crystal structure
```
data_Co3BPO7
_space_group_name_H-M_alt 'C 1 m 1'
_space_group_IT_number 8
_cell_length_a 9.922
_cell_length_b 12.805
_cell_length_c 4.948
_cell_angle_alpha 90.00
_cell_angle_beta 119.77
_cell_angle_gamma 90.00
loop_
_space_group_symop_operation_xyz
'x,y,z'
'x,-y,z'
'x+1/2,y+1/2,z'
'x+1/2,-y+1/2,z'
loop_
_atom_site_label
_atom_site_type_symbol
_atom_site_fract_x
_atom_site_fract_y
_atom_site_fract_z
_atom_site_occupancy
Co1 Co 0.000 0.110 0.000 1
Co2 Co 0.020 0.358 0.057 1
Co3 Co 0.194 0.246 0.692 1
B1 B 0.360 0.284 0.355 1
P1 P 0.153 0.500 0.712 1
P2 P 0.192 0.000 0.695 1
O1 O 0.050 0.000 0.746 1
O2 O 0.069 0.500 0.908 1
O3 O 0.105 0.400 0.508 1
O4 O 0.138 0.000 0.342 1
O5 O 0.211 0.281 0.107 1
O6 O 0.290 0.100 0.847 1
O7 O 0.332 0.500 0.929 1
O8 O 0.389 0.280 0.660 1
O9 O 0.486 0.286 0.301 1
```